Entry 1:
The following is a theoretical XRD peak list of AsPdPtO. It was derived from the PBE geometry in OQMD, using a wavelength of 1.5418 Å.

Top 10 peaks for 2θ = 10–90°, sorted by position:
Position (°2θ)	I_rel
22.66	42
27.34	77
30.84	85
31.47	100
34.28	53
38.32	68
38.60	57
46.26	49
49.97	41
55.24	37

Structure:
```
8
Lattice="3.9249 0.0000 0.0000 0.0000 5.8627 0.0000 0.0000 0.0000 5.7994" Properties=species:S:1:pos:R:3 pbc="T T T"
As 0.0000 1.2636 0.0000
As 0.0000 4.5991 2.8997
Pd 1.9624 2.4051 0.9618
Pd 1.9624 3.4576 3.8615
Pt 0.0000 1.1497 3.3506
Pt 0.0000 4.7130 0.4509
O 1.9624 1.3790 2.9371
O 1.9624 4.4837 0.0374
```

***

Entry 2:
The following is a theoretical XRD peak list of Ga2NiSe4. It was derived from the PBE geometry in OQMD, using a wavelength of 1.5418 Å.

Top 10 peaks for 2θ = 10–90°, sorted by position:
Position (°2θ)	I_rel
14.45	24
23.71	26
27.77	23
27.93	47
29.14	48
33.60	39
33.86	77
44.45	39
48.45	100
48.64	49

Structure:
```
28
Lattice="7.4873 0.0000 0.0000 0.0000 7.4873 0.0000 0.0000 0.0000 10.6675" Properties=species:S:1:pos:R:3 pbc="T T T"
Ga 0.0000 1.9626 0.0000
Ga 0.0000 5.5247 5.3338
Ga 1.8924 1.8924 4.0003
Ga 1.8924 5.5948 1.3334
Ga 1.9626 0.0000 8.0007
Ga 5.5247 0.0000 2.6669
Ga 5.5948 1.8924 6.6672
Ga 5.5948 5.5948 9.3341
Ni 1.8344 3.7436 8.0007
Ni 3.7436 1.8344 0.0000
Ni 3.7436 5.6528 5.3338
Ni 5.6528 3.7436 2.6669
Se 0.1995 1.9440 8.0372
Se 0.1995 5.5433 7.9641
Se 1.9440 0.1995 10.6310
Se 1.9440 7.2878 5.3703
Se 1.9944 3.6164 10.4640
Se 1.9944 3.8708 5.5373
Se 3.6164 1.9944 8.2042
Se 3.6164 5.4928 7.7971
Se 3.8708 1.9944 2.4633
Se 3.8708 5.4928 2.8705
Se 5.4928 3.6164 0.2036
Se 5.4928 3.8708 5.1302
Se 5.5433 0.1995 0.0365
Se 5.5433 7.2878 5.2972
Se 7.2878 1.9440 2.6304
Se 7.2878 5.5433 2.7034
```

***

Entry 3:
The following is a theoretical XRD peak list of Hf3Si2Ge2Pd4. It was derived from the PBE geometry in OQMD, using a wavelength of 1.5418 Å.

Top 10 peaks for 2θ = 10–90°, sorted by position:
Position (°2θ)	I_rel
29.10	19
35.18	100
36.17	26
37.48	68
40.19	16
40.62	33
44.73	35
45.24	33
59.24	18
65.51	22

Structure:
```
11
Lattice="-2.0043 3.4143 6.6654 2.0043 -3.4143 6.6654 2.0043 3.4143 -6.6654" Properties=species:S:1:pos:R:3 pbc="T T T"
Hf 0.0000 0.0000 0.0000
Hf 2.0043 0.0000 5.0261
Hf 0.0000 3.4143 1.6393
Si 0.0000 0.0000 2.8394
Si 0.0000 0.0000 10.4914
Ge 2.0043 2.0843 0.0000
Ge 0.0000 1.3300 6.6654
Pd 2.0043 1.3920 -2.3711
Pd 2.0043 1.3920 2.3711
Pd 0.0000 2.0223 4.2943
Pd 0.0000 2.0223 9.0366
```

***

Entry 4:
The following is a theoretical XRD peak list of YEr4Lu2Ni2Te2. It was derived from the PBE geometry in OQMD, using a wavelength of 1.5418 Å.

Top 10 peaks for 2θ = 10–90°, sorted by position:
Position (°2θ)	I_rel
25.16	25
30.64	43
33.30	82
34.39	100
34.87	80
36.95	19
38.81	21
47.66	29
51.66	24
59.38	31

Structure:
```
11
Lattice="-1.9081 7.7150 4.7364 1.9081 -7.7150 4.7364 1.9081 7.7150 -4.7364" Properties=species:S:1:pos:R:3 pbc="T T T"
Y 0.0000 0.0000 0.0000
Er 1.9081 5.6713 -0.7717
Er 1.9081 2.8606 1.1404
Er 0.0000 2.0437 3.9647
Er 0.0000 4.8544 5.8768
Lu 0.0000 5.4412 2.5569
Lu 0.0000 9.9888 2.5569
Ni 1.9081 -4.0439 4.0517
Ni 1.9081 4.0439 4.0517
Te 1.9081 0.0000 2.5131
Te 0.0000 0.0000 6.2949
```

***

Entry 5:
The following is a theoretical XRD peak list of TmZr. It was derived from the PBE geometry in OQMD, using a wavelength of 1.5418 Å.

Top 10 peaks for 2θ = 10–90°, sorted by position:
Position (°2θ)	I_rel
30.37	24
30.57	12
33.87	37
34.88	100
35.05	49
46.13	15
54.21	18
61.25	20
65.47	21
65.88	14

Structure:
```
16
Lattice="5.2933 0.0000 0.0000 0.0000 13.6209 0.0000 0.0000 0.0000 5.8494" Properties=species:S:1:pos:R:3 pbc="T T T"
Tm 1.3233 0.0170 1.0338
Tm 1.3233 1.7570 3.8737
Tm 1.3233 5.0534 3.8737
Tm 1.3233 6.7935 1.0338
Tm 3.9700 6.8275 4.8155
Tm 3.9700 8.5675 1.9757
Tm 3.9700 11.8639 1.9757
Tm 3.9700 13.6039 4.8155
Zr 1.3233 3.4052 0.9332
Zr 1.3233 8.6947 3.9440
Zr 1.3233 10.2157 0.8474
Zr 1.3233 11.7367 3.9440
Zr 3.9700 1.8843 1.9054
Zr 3.9700 3.4052 5.0020
Zr 3.9700 4.9262 1.9054
Zr 3.9700 10.2157 4.9162
```

***

Entry 6:
The following is a theoretical XRD peak list of Ta5W24. It was derived from the PBE geometry in OQMD, using a wavelength of 1.5418 Å.

Top 10 peaks for 2θ = 10–90°, sorted by position:
Position (°2θ)	I_rel
36.18	8
38.46	100
42.70	29
44.70	10
46.63	17
65.07	6
66.58	11
69.56	26
71.03	5
82.40	9

Structure:
```
29
Lattice="-4.9657 4.9657 4.9657 4.9657 -4.9657 4.9657 4.9657 4.9657 -4.9657" Properties=species:S:1:pos:R:3 pbc="T T T"
Ta 0.0000 0.0000 0.0000
Ta 3.1412 3.1412 -3.1412
Ta 3.1412 -3.1412 3.1412
Ta 1.8245 1.8245 1.8245
Ta -3.1412 3.1412 3.1412
W 2.8414 0.9320 -0.9320
W 2.8414 -0.9320 0.9320
W 5.3689 1.3841 -1.3841
W 5.3689 -1.3841 1.3841
W 7.0901 0.9320 0.9320
W 0.9320 2.8414 -0.9320
W 0.9320 -0.9320 2.8414
W 4.5625 1.3841 1.3841
W 3.5816 3.5816 -0.4032
W 3.5816 -0.4032 3.5816
W -0.9320 2.8414 0.9320
W -0.9320 0.9320 2.8414
W 1.3841 5.3689 -1.3841
W 1.3841 -1.3841 5.3689
W 1.3841 4.5625 1.3841
W 1.3841 1.3841 4.5625
W 4.0337 4.0337 2.1244
W 4.0337 2.1244 4.0337
W -1.3841 5.3689 1.3841
W -1.3841 1.3841 5.3689
W -0.4032 3.5816 3.5816
W 0.9320 7.0901 0.9320
W 0.9320 0.9320 7.0901
W 2.1244 4.0337 4.0337
```

***

Entry 7:
The following is a theoretical XRD peak list of SmSiHg. It was derived from the PBE geometry in OQMD, using a wavelength of 1.5418 Å.

Top 10 peaks for 2θ = 10–90°, sorted by position:
Position (°2θ)	I_rel
10.92	47
29.11	47
30.63	41
32.08	100
34.38	81
41.05	31
44.17	28
51.11	20
55.22	17
56.60	21

Structure:
```
6
Lattice="8.2234 -2.1988 0.0000 8.2234 2.1988 0.0000 -0.6737 0.0000 3.8516" Properties=species:S:1:pos:R:3 pbc="T T T"
Sm 1.3828 0.0000 1.2385
Sm 14.3903 0.0000 2.6131
Si 7.3505 0.0000 0.8433
Si 8.4226 0.0000 3.0083
Hg 4.5727 0.0000 0.8415
Hg 11.2004 0.0000 3.0101
```

***

Entry 8:
The following is a theoretical XRD peak list of ZnH6O4. It was derived from the PBE geometry in OQMD, using a wavelength of 1.5418 Å.

Top 10 peaks for 2θ = 10–90°, sorted by position:
Position (°2θ)	I_rel
23.92	62
26.38	61
34.09	32
39.91	23
43.61	100
47.97	26
54.30	15
55.22	16
65.69	15
67.64	20

Structure:
```
22
Lattice="5.2603 0.0000 0.0000 0.0000 5.2603 0.0000 0.0000 0.0000 4.4086" Properties=species:S:1:pos:R:3 pbc="T T T"
Zn 1.3151 3.9452 1.1021
Zn 3.9452 1.3151 3.3064
H 0.4652 3.0954 3.3064
H 0.4652 4.7951 3.3064
H 1.3151 1.3151 0.3619
H 1.3151 1.3151 2.5662
H 2.1649 3.0954 3.3064
H 2.1649 4.7951 3.3064
H 3.0954 0.4652 1.1021
H 3.0954 2.1649 1.1021
H 3.9452 3.9452 1.8424
H 3.9452 3.9452 4.0467
H 4.7951 0.4652 1.1021
H 4.7951 2.1649 1.1021
O 0.0753 1.3151 0.3970
O 1.3151 0.0753 2.6013
O 1.3151 2.5548 2.6013
O 2.5548 1.3151 0.3970
O 2.7055 3.9452 4.0116
O 3.9452 2.7055 1.8073
O 3.9452 5.1850 1.8073
O 5.1850 3.9452 4.0116
```

***

Entry 9:
The following is a theoretical XRD peak list of ReTeSe4. It was derived from the PBE geometry in OQMD, using a wavelength of 1.5418 Å.

Top 10 peaks for 2θ = 10–90°, sorted by position:
Position (°2θ)	I_rel
13.53	100
28.55	11
28.75	14
31.12	36
33.54	30
34.18	29
40.87	12
45.52	12
46.63	18
47.15	12

Structure:
```
12
Lattice="6.9017 0.0000 0.0000 -1.9691 6.8066 0.0000 -0.0788 -3.7086 6.9092" Properties=species:S:1:pos:R:3 pbc="T T T"
Re -0.4889 -2.2881 6.9081
Re 5.3427 5.3861 0.0011
Te -1.4788 3.2590 3.3092
Te 6.3326 -0.1610 3.6000
Se 0.3395 0.1017 6.2003
Se -0.3775 5.5453 2.2170
Se 0.6793 1.9190 2.2087
Se -0.3889 3.5758 5.9407
Se 5.2427 -0.4777 0.9685
Se 4.1745 1.1791 4.7005
Se 5.2313 -2.4472 4.6922
Se 4.5143 2.9963 0.7089
```

***

Entry 10:
The following is a theoretical XRD peak list of Pm4Pb3. It was derived from the PBE geometry in OQMD, using a wavelength of 1.5418 Å.

Top 10 peaks for 2θ = 10–90°, sorted by position:
Position (°2θ)	I_rel
22.61	12
29.32	100
34.85	62
41.95	19
44.10	14
46.17	12
48.17	22
59.13	30
62.49	14
72.05	21

Structure:
```
14
Lattice="-4.8159 4.8159 4.8159 4.8159 -4.8159 4.8159 4.8159 4.8159 -4.8159" Properties=species:S:1:pos:R:3 pbc="T T T"
Pm 3.0749 1.7410 -1.7410
Pm 5.4829 -0.6670 0.6670
Pm 1.7410 -1.7410 3.0749
Pm 1.7410 1.7410 1.7410
Pm -1.7410 3.0749 1.7410
Pm 0.6670 5.4829 -0.6670
Pm -0.6670 0.6670 5.4829
Pm 4.1490 4.1490 4.1490
Pb 4.8159 -2.4080 3.6120
Pb 3.6120 4.8159 -2.4080
Pb 4.8159 2.4080 1.2040
Pb 2.4080 1.2040 4.8159
Pb 1.2040 4.8159 2.4080
Pb -2.4080 3.6120 4.8159
```

***

Entry 11:
The following is a theoretical XRD peak list of Zr4U3. It was derived from the PBE geometry in OQMD, using a wavelength of 1.5418 Å.

Top 10 peaks for 2θ = 10–90°, sorted by position:
Position (°2θ)	I_rel
12.36	18
20.44	24
32.77	34
33.11	24
37.08	100
47.28	18
59.14	14
61.35	23
69.29	18
71.90	15

Structure:
```
14
Lattice="8.2608 0.0000 0.0000 0.0000 5.4655 0.0000 -4.1282 0.0000 7.1627" Properties=species:S:1:pos:R:3 pbc="T T T"
Zr -0.5280 1.3664 1.7236
Zr -2.3761 1.3664 6.7572
Zr 1.2293 4.0991 1.3179
Zr 0.0006 1.3664 4.7744
Zr 4.1320 4.0991 2.3883
Zr 2.9033 1.3664 5.8447
Zr 6.5087 4.0991 0.4055
Zr 4.6606 4.0991 5.4391
U -1.0790 4.0991 3.6213
U -0.4508 4.0991 6.2951
U 1.5396 4.0991 4.4109
U 2.5929 1.3664 2.7517
U 4.5834 1.3664 0.8676
U 5.2116 1.3664 3.5414
```

***

Entry 12:
The following is a theoretical XRD peak list of CsTb4CSe2. It was derived from the PBE geometry in OQMD, using a wavelength of 1.5418 Å.

Top 10 peaks for 2θ = 10–90°, sorted by position:
Position (°2θ)	I_rel
24.56	21
27.51	52
28.82	21
33.62	100
36.86	22
40.51	17
47.80	38
48.78	16
59.71	19
79.85	17

Structure:
```
8
Lattice="3.8058 0.0000 0.0000 -1.9029 3.2959 0.0000 0.0000 0.0000 18.1242" Properties=species:S:1:pos:R:3 pbc="T T T"
Cs 0.0000 0.0000 0.0000
Tb 0.0000 2.1973 3.7814
Tb 0.0000 2.1973 7.7398
Tb 1.9029 1.0986 10.3844
Tb 1.9029 1.0986 14.3428
C 0.0000 0.0000 9.0621
Se 0.0000 2.1973 12.4322
Se 1.9029 1.0986 5.6920
```